Record 1
For Na2Mo2O7, a PBE+U-relaxed structure gives the computed powder X-ray diffraction pattern in this record (copper Kα).

Atomic structure:
a = 7.055 Å, b = 7.055 Å, c = 15.060 Å
α = 90.00°, β = 90.00°, γ = 117.55°
Fractional coordinates of all 44 atoms:
Na1 0.177 0.823 0.847
Na2 0.248 0.248 0.000
Na3 0.252 0.252 0.500
Na4 0.323 0.677 0.347
Na5 0.677 0.323 0.653
Na6 0.748 0.748 0.500
Na7 0.752 0.752 0.000
Na8 0.823 0.177 0.153
Mo1 0.165 0.335 0.750
Mo2 0.247 0.753 0.086
Mo3 0.253 0.747 0.586
Mo4 0.335 0.165 0.250
Mo5 0.665 0.835 0.750
Mo6 0.747 0.253 0.414
Mo7 0.753 0.247 0.914
Mo8 0.835 0.665 0.250
O1 0.031 0.566 0.156
O2 0.066 0.531 0.656
O3 0.123 0.877 0.282
O4 0.123 0.877 0.531
O5 0.140 0.860 0.003
O6 0.194 0.206 0.162
O7 0.206 0.194 0.838
O8 0.294 0.306 0.338
O9 0.306 0.294 0.662
O10 0.360 0.640 0.503
O11 0.377 0.623 0.031
O12 0.377 0.623 0.782
O13 0.434 0.969 0.156
O14 0.469 0.934 0.656
O15 0.531 0.066 0.344
O16 0.566 0.031 0.844
O17 0.623 0.377 0.218
O18 0.623 0.377 0.969
O19 0.640 0.360 0.497
O20 0.694 0.706 0.338
O21 0.706 0.694 0.662
O22 0.794 0.806 0.162
O23 0.806 0.794 0.838
O24 0.860 0.140 0.997
O25 0.877 0.123 0.469
O26 0.877 0.123 0.718
O27 0.934 0.469 0.344
O28 0.969 0.434 0.844

Top 10 peaks for 15 to 90 degrees two-theta, sorted by position:
2θ = 15.8°, d = 5.601 Å, I 89.8
2θ = 18.4°, d = 4.812 Å, I 88.1
2θ = 18.8°, d = 4.708 Å, I 36.5
2θ = 23.0°, d = 3.859 Å, I 53.8
2θ = 27.1°, d = 3.290 Å, I 69.8
2θ = 27.7°, d = 3.226 Å, I 66.3
2θ = 27.9°, d = 3.193 Å, I 100.0
2θ = 28.5°, d = 3.128 Å, I 92.4
2θ = 29.2°, d = 3.062 Å, I 39.4
2θ = 53.7°, d = 1.706 Å, I 50.3


Record 2
For Ca8ZnCo3Si8O28, a PBE+U-relaxed structure gives the computed powder X-ray diffraction pattern in this record (copper Kα).

Atomic structure:
a = 11.183 Å, b = 11.183 Å, c = 5.065 Å
α = 90.00°, β = 90.00°, γ = 90.00°
Fractional coordinates of all 48 atoms:
Ca1 0.079 0.250 0.000
Ca2 0.250 0.580 0.000
Ca3 0.250 0.921 0.000
Ca4 0.420 0.250 0.000
Ca5 0.580 0.750 0.000
Ca6 0.750 0.079 0.000
Ca7 0.750 0.420 0.000
Ca8 0.921 0.750 0.000
Zn1 0.000 0.000 0.500
Co1 0.000 0.500 0.500
Co2 0.500 0.000 0.500
Co3 0.500 0.500 0.500
Si1 0.109 0.750 0.567
Si2 0.250 0.109 0.433
Si3 0.250 0.391 0.432
Si4 0.391 0.750 0.568
Si5 0.609 0.250 0.568
Si6 0.750 0.609 0.432
Si7 0.750 0.891 0.433
Si8 0.891 0.250 0.567
O1 0.052 0.634 0.722
O2 0.052 0.866 0.722
O3 0.107 0.749 0.249
O4 0.134 0.052 0.278
O5 0.134 0.448 0.277
O6 0.250 0.250 0.316
O7 0.250 0.393 0.750
O8 0.250 0.750 0.684
O9 0.251 0.107 0.751
O10 0.366 0.052 0.278
O11 0.366 0.448 0.277
O12 0.393 0.750 0.250
O13 0.448 0.634 0.723
O14 0.448 0.866 0.723
O15 0.552 0.134 0.723
O16 0.552 0.366 0.723
O17 0.607 0.250 0.250
O18 0.634 0.552 0.277
O19 0.634 0.948 0.278
O20 0.749 0.893 0.751
O21 0.750 0.250 0.684
O22 0.750 0.607 0.750
O23 0.750 0.750 0.316
O24 0.866 0.552 0.277
O25 0.866 0.948 0.278
O26 0.893 0.251 0.249
O27 0.948 0.134 0.722
O28 0.948 0.366 0.722

Top 10 peaks for 15 to 90 degrees two-theta, sorted by position:
2θ = 17.5°, d = 5.065 Å, I 12.7
2θ = 23.7°, d = 3.754 Å, I 36.9
2θ = 28.6°, d = 3.117 Å, I 61.4
2θ = 30.8°, d = 2.900 Å, I 100.0
2θ = 32.0°, d = 2.796 Å, I 15.0
2θ = 35.9°, d = 2.501 Å, I 37.0
2θ = 44.0°, d = 2.059 Å, I 15.7
2θ = 48.5°, d = 1.877 Å, I 12.6
2θ = 51.3°, d = 1.779 Å, I 40.7
2θ = 51.7°, d = 1.768 Å, I 14.8